(1)
The following is a theoretical X-ray diffraction stick pattern of LiNiP3O9. It was derived from the GGA+U geometry in the Materials Project, using Cu Kα (λ = 1.5418 Å).

Largest 12 diffraction maxima, by angle, 10 to 80 degrees two-theta:
5.560 Å, 2θ 15.94, I 74; 4.830 Å, 2θ 18.37, I 17; 3.646 Å, 2θ 24.41, I 100; 3.046 Å, 2θ 29.32, I 51; 2.673 Å, 2θ 33.52, I 56; 2.411 Å, 2θ 37.29, I 21; 2.101 Å, 2θ 43.04, I 14; 1.928 Å, 2θ 47.13, I 14; 1.853 Å, 2θ 49.16, I 20; 1.823 Å, 2θ 50.03, I 20; 1.585 Å, 2θ 58.21, I 21; 1.469 Å, 2θ 63.30, I 12

Atomic structure:
Cell: 6.420 6.420 9.660 Å, 90.00 90.00 120.00°
Element x y z (fractional)
Li1 0.000 0.000 0.000
Li2 0.000 0.000 0.500
Ni1 0.667 0.333 0.000
Ni2 0.667 0.333 0.500
P1 0.052 0.417 0.250
P2 0.052 0.634 0.750
P3 0.366 0.417 0.750
P4 0.366 0.948 0.250
P5 0.583 0.634 0.250
P6 0.583 0.948 0.750
O1 0.123 0.428 0.750
O2 0.123 0.694 0.250
O3 0.306 0.428 0.250
O4 0.306 0.877 0.750
O5 0.374 0.070 0.115
O6 0.374 0.070 0.385
O7 0.374 0.303 0.615
O8 0.374 0.303 0.885
O9 0.572 0.694 0.750
O10 0.572 0.877 0.250
O11 0.697 0.070 0.615
O12 0.697 0.070 0.885
O13 0.697 0.626 0.115
O14 0.697 0.626 0.385
O15 0.930 0.303 0.115
O16 0.930 0.303 0.385
O17 0.930 0.626 0.615
O18 0.930 0.626 0.885

(2)
The following is a theoretical X-ray diffraction stick pattern of LiMn2F6. It was derived from the GGA+U geometry in the Materials Project, using Cu Kα (λ = 1.5418 Å).

Largest 12 diffraction maxima, by angle, 10 to 80 degrees two-theta:
4.803 Å, 2θ 18.47, I 19; 4.249 Å, 2θ 20.91, I 62; 3.350 Å, 2θ 26.61, I 100; 2.748 Å, 2θ 32.59, I 17; 2.653 Å, 2θ 33.79, I 41; 2.315 Å, 2θ 38.91, I 47; 2.069 Å, 2θ 43.75, I 15; 1.767 Å, 2θ 51.73, I 72; 1.675 Å, 2θ 54.80, I 25; 1.601 Å, 2θ 57.57, I 15; 1.444 Å, 2θ 64.51, I 13; 1.416 Å, 2θ 65.95, I 30

Atomic structure:
Cell: 4.738 4.738 9.606 Å, 90.00 90.00 90.00°
Element x y z (fractional)
Li1 0.000 0.000 0.000
Li2 0.500 0.500 0.500
Mn1 0.000 0.000 0.334
Mn2 0.000 0.000 0.666
Mn3 0.500 0.500 0.166
Mn4 0.500 0.500 0.834
F1 0.197 0.197 0.500
F2 0.203 0.203 0.167
F3 0.203 0.203 0.833
F4 0.297 0.703 0.333
F5 0.297 0.703 0.667
F6 0.303 0.697 0.000
F7 0.697 0.303 0.000
F8 0.703 0.297 0.333
F9 0.703 0.297 0.667
F10 0.797 0.797 0.167
F11 0.797 0.797 0.833
F12 0.803 0.803 0.500

(3)
The following is a theoretical X-ray diffraction stick pattern of HoFeO3. It was derived from the GGA+U geometry in the Materials Project, using Cu Kα (λ = 1.5418 Å).

Largest 12 diffraction maxima, by angle, 10 to 80 degrees two-theta:
3.867 Å, 2θ 23.00, I 20; 3.850 Å, 2θ 23.10, I 15; 3.456 Å, 2θ 25.78, I 23; 2.820 Å, 2θ 31.74, I 17; 2.728 Å, 2θ 32.82, I 100; 2.656 Å, 2θ 33.74, I 24; 2.648 Å, 2θ 33.86, I 15; 1.933 Å, 2θ 47.00, I 16; 1.925 Å, 2θ 47.21, I 14; 1.875 Å, 2θ 48.55, I 15; 1.727 Å, 2θ 53.03, I 21; 1.547 Å, 2θ 59.77, I 21

Atomic structure:
Cell: 5.639 7.701 5.313 Å, 90.00 90.00 90.00°
Element x y z (fractional)
Ho1 0.070 0.250 0.020
Ho2 0.430 0.750 0.520
Ho3 0.570 0.250 0.480
Ho4 0.930 0.750 0.980
Fe1 0.000 0.000 0.500
Fe2 0.000 0.500 0.500
Fe3 0.500 0.000 0.000
Fe4 0.500 0.500 0.000
O1 0.045 0.750 0.381
O2 0.193 0.561 0.810
O3 0.193 0.939 0.810
O4 0.307 0.061 0.310
O5 0.307 0.439 0.310
O6 0.455 0.250 0.881
O7 0.545 0.750 0.119
O8 0.693 0.561 0.690
O9 0.693 0.939 0.690
O10 0.807 0.061 0.190
O11 0.807 0.439 0.190
O12 0.955 0.250 0.619

(4)
The following is a theoretical X-ray diffraction stick pattern of Ca2PdWO6. It was derived from the GGA+U geometry in the Materials Project, using Cu Kα (λ = 1.5418 Å).

Largest 12 diffraction maxima, by angle, 10 to 80 degrees two-theta:
4.133 Å, 2θ 21.50, I 79; 4.072 Å, 2θ 21.83, I 32; 3.061 Å, 2θ 29.17, I 24; 2.901 Å, 2θ 30.82, I 100; 2.801 Å, 2θ 31.95, I 25; 2.067 Å, 2θ 43.80, I 29; 2.036 Å, 2θ 44.50, I 18; 1.918 Å, 2θ 47.41, I 18; 1.843 Å, 2θ 49.46, I 23; 1.826 Å, 2θ 49.93, I 16; 1.636 Å, 2θ 56.23, I 19; 1.450 Å, 2θ 64.22, I 17

Atomic structure:
Cell: 5.603 8.144 6.123 Å, 90.00 90.00 90.00°
Element x y z (fractional)
Ca1 0.000 0.240 0.000
Ca2 0.000 0.760 0.000
Ca3 0.500 0.257 0.497
Ca4 0.500 0.743 0.497
Pd1 0.000 0.000 0.587
Pd2 0.500 0.500 0.097
W1 0.000 0.500 0.610
W2 0.500 0.000 0.098
O1 0.000 0.263 0.619
O2 0.000 0.737 0.619
O3 0.224 0.500 0.858
O4 0.245 0.000 0.888
O5 0.259 0.500 0.405
O6 0.270 0.000 0.340
O7 0.500 0.237 0.116
O8 0.500 0.763 0.116
O9 0.730 0.000 0.340
O10 0.741 0.500 0.405
O11 0.755 0.000 0.888
O12 0.776 0.500 0.858

(5)
The following is a theoretical X-ray diffraction stick pattern of MgMnCo3O8. It was derived from the GGA+U geometry in the Materials Project, using Cu Kα (λ = 1.5418 Å).

Largest 12 diffraction maxima, by angle, 10 to 80 degrees two-theta:
5.025 Å, 2θ 17.65, I 100; 2.589 Å, 2θ 34.64, I 10; 2.512 Å, 2θ 35.74, I 6; 2.471 Å, 2θ 36.35, I 20; 2.413 Å, 2θ 37.27, I 18; 2.173 Å, 2θ 41.56, I 28; 1.912 Å, 2θ 47.57, I 13; 1.810 Å, 2θ 50.41, I 10; 1.717 Å, 2θ 53.35, I 19; 1.471 Å, 2θ 63.20, I 11; 1.422 Å, 2θ 65.68, I 5; 1.354 Å, 2θ 69.42, I 6

Atomic structure:
Cell: 5.785 5.785 6.848 Å, 124.87 124.87 58.17°
Element x y z (fractional)
Mg1 0.000 0.000 0.000
Mn1 0.730 0.730 0.996
Co1 0.253 0.746 0.498
Co2 0.265 0.265 0.001
Co3 0.746 0.253 0.498
O1 0.016 0.016 0.702
O2 0.020 0.546 0.849
O3 0.442 0.983 0.148
O4 0.495 0.495 0.682
O5 0.497 0.497 0.309
O6 0.546 0.020 0.849
O7 0.983 0.442 0.148
O8 0.984 0.984 0.298

(6)
The following is a theoretical X-ray diffraction stick pattern of BaSrFe4O8. It was derived from the GGA+U geometry in the Materials Project, using Cu Kα (λ = 1.5418 Å).

Largest 12 diffraction maxima, by angle, 10 to 80 degrees two-theta:
8.206 Å, 2θ 10.78, I 11; 4.819 Å, 2θ 18.41, I 9; 3.124 Å, 2θ 28.57, I 100; 2.782 Å, 2θ 32.18, I 70; 2.635 Å, 2θ 34.03, I 13; 2.078 Å, 2θ 43.56, I 30; 2.051 Å, 2θ 44.15, I 12; 1.665 Å, 2θ 55.18, I 30; 1.651 Å, 2θ 55.67, I 27; 1.606 Å, 2θ 57.37, I 21; 1.271 Å, 2θ 74.70, I 12; 1.265 Å, 2θ 75.12, I 13

Atomic structure:
Cell: 5.564 5.564 8.206 Å, 90.00 90.00 120.00°
Element x y z (fractional)
Ba1 0.000 0.000 0.000
Sr1 0.000 0.000 0.500
Fe1 0.333 0.667 0.229
Fe2 0.333 0.667 0.771
Fe3 0.667 0.333 0.229
Fe4 0.667 0.333 0.771
O1 0.000 0.338 0.292
O2 0.000 0.662 0.708
O3 0.333 0.667 0.000
O4 0.338 0.000 0.292
O5 0.338 0.338 0.708
O6 0.662 0.000 0.708
O7 0.662 0.662 0.292
O8 0.667 0.333 0.000

(7)
The following is a theoretical X-ray diffraction stick pattern of LiVI2O8. It was derived from the GGA+U geometry in the Materials Project, using Cu Kα (λ = 1.5418 Å).

Largest 12 diffraction maxima, by angle, 10 to 80 degrees two-theta:
6.096 Å, 2θ 14.53, I 19; 4.007 Å, 2θ 22.19, I 51; 3.646 Å, 2θ 24.41, I 26; 3.579 Å, 2θ 24.88, I 100; 3.414 Å, 2θ 26.10, I 68; 3.356 Å, 2θ 26.56, I 54; 3.229 Å, 2θ 27.63, I 21; 2.989 Å, 2θ 29.89, I 42; 2.644 Å, 2θ 33.90, I 33; 2.597 Å, 2θ 34.54, I 22; 1.919 Å, 2θ 47.37, I 26; 1.824 Å, 2θ 50.01, I 25

Atomic structure:
Cell: 10.092 5.316 13.812 Å, 90.00 118.03 90.00°
Element x y z (fractional)
Li1 0.237 0.234 0.436
Li2 0.237 0.266 0.936
Li3 0.763 0.734 0.064
Li4 0.763 0.766 0.564
V1 0.267 0.722 0.050
V2 0.267 0.778 0.550
V3 0.733 0.222 0.450
V4 0.733 0.278 0.950
I1 0.075 0.183 0.169
I2 0.075 0.317 0.669
I3 0.417 0.695 0.329
I4 0.417 0.805 0.829
I5 0.583 0.195 0.171
I6 0.583 0.305 0.671
I7 0.925 0.683 0.331
I8 0.925 0.817 0.831
O1 0.075 0.072 0.293
O2 0.075 0.428 0.793
O3 0.115 0.557 0.436
O4 0.115 0.943 0.936
O5 0.153 0.020 0.531
O6 0.153 0.480 0.031
O7 0.190 0.577 0.660
O8 0.190 0.923 0.160
O9 0.306 0.081 0.823
O10 0.306 0.419 0.323
O11 0.358 0.620 0.981
O12 0.358 0.880 0.481
O13 0.393 0.087 0.078
O14 0.393 0.413 0.578
O15 0.426 0.629 0.197
O16 0.426 0.871 0.697
O17 0.574 0.129 0.303
O18 0.574 0.371 0.803
O19 0.607 0.587 0.422
O20 0.607 0.913 0.922
O21 0.642 0.120 0.519
O22 0.642 0.380 0.019
O23 0.694 0.581 0.677
O24 0.694 0.919 0.177
O25 0.810 0.077 0.840
O26 0.810 0.423 0.340
O27 0.847 0.520 0.969
O28 0.847 0.980 0.469
O29 0.885 0.057 0.064
O30 0.885 0.443 0.564
O31 0.925 0.572 0.207
O32 0.925 0.928 0.707

(8)
The following is a theoretical X-ray diffraction stick pattern of VP3Pb6O16. It was derived from the GGA+U geometry in the Materials Project, using Cu Kα (λ = 1.5418 Å).

Largest 12 diffraction maxima, by angle, 10 to 80 degrees two-theta:
4.731 Å, 2θ 18.76, I 24; 3.627 Å, 2θ 24.54, I 23; 3.599 Å, 2θ 24.74, I 21; 3.572 Å, 2θ 24.92, I 36; 3.214 Å, 2θ 27.75, I 100; 3.101 Å, 2θ 28.79, I 47; 2.969 Å, 2θ 30.09, I 27; 2.839 Å, 2θ 31.51, I 57; 2.826 Å, 2θ 31.66, I 52; 2.288 Å, 2θ 39.38, I 25; 2.169 Å, 2θ 41.64, I 15; 2.106 Å, 2θ 42.94, I 20

Atomic structure:
Cell: 5.939 7.608 9.671 Å, 100.87 90.34 112.68°
Element x y z (fractional)
V1 0.000 0.000 0.000
P1 0.206 0.405 0.391
P2 0.508 0.006 0.502
P3 0.707 0.406 0.892
Pb1 0.006 0.846 0.300
Pb2 0.059 0.207 0.694
Pb3 0.353 0.847 0.790
Pb4 0.366 0.577 0.102
Pb5 0.651 0.207 0.201
Pb6 0.710 0.563 0.599
O1 0.037 0.494 0.335
O2 0.070 0.181 0.363
O3 0.098 0.249 0.031
O4 0.207 0.934 0.086
O5 0.263 0.944 0.576
O6 0.276 0.483 0.555
O7 0.437 0.928 0.340
O8 0.451 0.467 0.317
O9 0.523 0.468 0.815
O10 0.618 0.180 0.865
O11 0.644 0.230 0.530
O12 0.677 0.918 0.561
O13 0.714 0.485 0.055
O14 0.719 0.908 0.069
O15 0.962 0.492 0.834
O16 0.994 0.914 0.817